[1]
Te5Ru3: calculated X-ray powder pattern (Cu Kα, 1.54184 Å), based on a crystal structure in Alexandria, relaxed with GGA-PBE.
Peak positions follow from Bragg's law for the DFT cell and can differ from measured ones.

Crystal structure
a b c (Å): 6.9145 15.0257 14.5916
angles (deg): 90.00 90.00 90.00
Space group Fmm2 (No. 42)
Inequivalent atoms, fractional coordinates:
Te 0.0000 0.1147 0.0000 x8
Te 0.0000 0.1220 0.3677 x8
Te 0.0000 0.1782 0.8060 x8
Te 0.0000 0.1825 0.5714 x8
Te 0.2448 0.0000 0.7017 x8
Ru 0.0000 0.0000 0.5699 x4
Ru 0.0000 0.0000 0.8554 x4
Ru 0.0000 0.1237 0.1843 x8
Ru 0.2500 0.2500 0.4332 x8

Main lines, in order of rising 2θ (15 to 90 degrees two-theta):
d (Å), two_theta, I/Imax, index
5.234, 16.94, 58, 0 2 2
3.457, 25.77, 77, 2 0 0
2.885, 31.00, 64, 2 2 2
2.708, 33.08, 100, 1 5 1
2.647, 33.87, 74, 1 1 5
2.544, 35.28, 78, 2 4 0
2.509, 35.79, 73, 2 0 4
2.398, 37.51, 53, 1 5 3
2.369, 37.98, 92, 1 3 5
1.729, 52.97, 39, 4 0 0

=====

[2]
ScGa2I5: calculated X-ray powder pattern (Cu Kα, 1.54184 Å), based on a crystal structure in Alexandria, relaxed with GGA-PBE.
Peak positions follow from Bragg's law for the DFT cell and can differ from measured ones.

Crystal structure
a b c (Å): 15.3257 8.0364 11.2007
angles (deg): 90.00 112.47 90.00
Space group Cc (No. 9)
Inequivalent atoms, fractional coordinates:
Sc 0.0000 0.0003 0.0000 x4
Ga 0.1086 0.4793 0.2099 x4
Ga 0.3922 0.0212 0.7910 x4
I 0.9999 0.1400 0.7500 x4
I 0.0926 0.2977 0.4669 x4
I 0.1803 0.1550 0.1330 x4
I 0.3198 0.3453 0.8671 x4
I 0.4075 0.2020 0.5336 x4

Main lines, in order of rising 2θ (15 to 90 degrees two-theta):
d (Å), two_theta, I/Imax, index
3.642, 24.44, 35, 4 0 -2
3.518, 25.31, 94, 2 2 -1
3.423, 26.03, 100, 3 1 1
3.355, 26.57, 94, 1 1 -3
2.698, 33.20, 46, 4 2 -2
2.671, 33.55, 41, 5 1 0
2.607, 34.40, 39, 3 1 -4
2.282, 39.50, 60, 1 3 2
2.177, 41.48, 29, 2 0 4
2.028, 44.68, 19, 5 1 -5

=====

[3]
Ce8AgHg2: calculated X-ray powder pattern (Cu Kα, 1.54184 Å), based on a crystal structure in Alexandria, relaxed with GGA-PBE.
Peak positions follow from Bragg's law for the DFT cell and can differ from measured ones.

Crystal structure
a b c (Å): 5.9726 6.5689 7.5314
angles (deg): 84.24 82.99 80.80
Space group P-1 (No. 2)
Inequivalent atoms, fractional coordinates:
Ce 0.0076 0.2462 0.0337 x2
Ce 0.1463 0.3655 0.3487 x2
Ce 0.3390 0.4017 0.6584 x2
Ce 0.3525 0.9354 0.7391 x2
Ag 0.5000 0.5000 0.0000 x1
Hg 0.1677 0.8637 0.3394 x2

Main lines, in order of rising 2θ (15 to 90 degrees two-theta):
d (Å), two_theta, I/Imax, index
3.349, 26.62, 29, 0 1 2
2.777, 32.24, 27, 1 -1 2
2.683, 33.40, 100, 1 2 -1
2.666, 33.61, 94, 1 -2 0
2.632, 34.06, 96, 2 0 -1
2.520, 35.63, 63, 1 2 2
2.483, 36.17, 57, 0 0 3
2.434, 36.92, 61, 2 0 2
1.806, 50.55, 28, 3 2 1
1.523, 60.81, 26, -3 2 1

=====

[4]
Pr2Si3Ni2: calculated X-ray powder pattern (Cu Kα, 1.54184 Å), based on a crystal structure in Alexandria, relaxed with GGA-PBE.
Peak positions follow from Bragg's law for the DFT cell and can differ from measured ones.

Crystal structure
a b c (Å): 4.2591 17.8053 6.7248
angles (deg): 90.00 90.00 90.00
Space group Cmcm (No. 63)
Inequivalent atoms, fractional coordinates:
Pr 0.0000 0.0536 0.2500 x4
Pr 0.0000 0.1591 0.7500 x4
Si 0.0000 0.2234 0.2500 x4
Si 0.0000 0.4374 0.0688 x8
Ni 0.0000 0.3055 0.5542 x8

Main lines, in order of rising 2θ (15 to 90 degrees two-theta):
d (Å), two_theta, I/Imax, index
4.142, 21.45, 22, 1 1 0
3.712, 23.97, 32, 0 4 1
3.077, 29.02, 23, 1 3 1
2.715, 32.99, 26, 0 6 1
2.611, 34.35, 83, 1 1 2
2.531, 35.47, 100, 1 5 1
2.411, 37.29, 19, 1 3 2
2.130, 42.45, 35, 2 0 0
2.002, 45.30, 36, 0 4 3
1.459, 63.81, 25, 2 4 3

=====

[5]
CeSmTh2Rh4: calculated X-ray powder pattern (Cu Kα, 1.54184 Å), based on a crystal structure in Alexandria, relaxed with GGA-PBE.
Peak positions follow from Bragg's law for the DFT cell and can differ from measured ones.

Crystal structure
a b c (Å): 5.7656 5.7656 11.4543
angles (deg): 90.00 90.00 90.00
Space group I4/mmm (No. 139)
Inequivalent atoms, fractional coordinates:
Ce 0.0000 0.0000 0.0000 x2
Sm 0.0000 0.0000 0.5000 x2
Th 0.0000 0.5000 0.2500 x4
Rh 0.0000 0.0000 0.2419 x4
Rh 0.0000 0.5000 0.0000 x4

Main lines, in order of rising 2θ (15 to 90 degrees two-theta):
d (Å), two_theta, I/Imax, index
3.321, 26.84, 20, 1 1 2
2.883, 31.02, 100, 2 0 0
2.864, 31.24, 49, 0 0 4
2.038, 44.44, 37, 2 2 0
2.032, 44.60, 73, 2 0 4
1.661, 55.32, 39, 2 2 4
1.289, 73.45, 17, 4 2 0
1.287, 73.56, 17, 4 0 4
1.282, 73.91, 16, 2 0 8
1.176, 81.96, 25, 4 2 4

=====

[6]
SrReGe2: calculated X-ray powder pattern (Cu Kα, 1.54184 Å), based on a crystal structure in Alexandria, relaxed with GGA-PBE.
Peak positions follow from Bragg's law for the DFT cell and can differ from measured ones.

Crystal structure
a b c (Å): 5.3844 5.3844 15.6602
angles (deg): 90.00 90.00 90.00
Space group I-42d (No. 122)
Inequivalent atoms, fractional coordinates:
Sr 0.0000 0.0000 0.0000 x4
Re 0.0000 0.0000 0.5000 x4
Ge 0.0010 0.2500 0.6250 x8

Main lines, in order of rising 2θ (15 to 90 degrees two-theta):
d (Å), two_theta, I/Imax, index
5.092, 17.42, 71, 1 0 1
3.424, 26.02, 100, 1 1 2
2.692, 33.28, 27, 2 0 0
2.546, 35.25, 14, 2 0 2
2.218, 40.67, 31, 2 0 4
2.187, 41.29, 16, 2 1 3
2.153, 41.97, 28, 1 1 6
1.712, 53.53, 33, 2 2 4
1.664, 55.21, 25, 3 1 2
1.426, 65.45, 15, 3 1 6

=====

[7]
PuAlHIr2: calculated X-ray powder pattern (Cu Kα, 1.54184 Å), based on a crystal structure in Alexandria, relaxed with GGA-PBE.
Peak positions follow from Bragg's law for the DFT cell and can differ from measured ones.

Crystal structure
a b c (Å): 2.9594 12.5525 7.7259
angles (deg): 90.00 90.00 90.00
Space group Cmcm (No. 63)
Inequivalent atoms, fractional coordinates:
Pu 0.0000 0.0170 0.2500 x4
Al 0.0000 0.2482 0.7500 x4
H 0.0000 0.5000 0.0000 x4
Ir 0.0000 0.3495 0.0318 x8

Main lines, in order of rising 2θ (15 to 90 degrees two-theta):
d (Å), two_theta, I/Imax, index
3.290, 27.11, 59, 0 2 2
2.436, 36.90, 75, 0 4 2
2.416, 37.21, 92, 1 3 0
2.383, 37.76, 17, 0 2 3
2.309, 39.01, 100, 1 1 2
2.092, 43.25, 20, 0 6 0
1.931, 47.05, 20, 0 0 4
1.509, 61.46, 29, 1 3 4
1.425, 65.48, 27, 1 7 2
1.265, 75.12, 20, 2 4 2

=====

[8]
Zn6SeO6: calculated X-ray powder pattern (Cu Kα, 1.54184 Å), based on a crystal structure in Alexandria, relaxed with GGA-PBE.
Peak positions follow from Bragg's law for the DFT cell and can differ from measured ones.

Crystal structure
a b c (Å): 5.7168 5.7168 5.7168
angles (deg): 90.00 90.00 90.00
Space group Pm-3 (No. 200)
Inequivalent atoms, fractional coordinates:
Zn 0.0000 0.2469 0.5000 x6
Se 0.0000 0.0000 0.0000 x1
O 0.0000 0.5000 0.2547 x6

Main lines, in order of rising 2θ (15 to 90 degrees two-theta):
d (Å), two_theta, I/Imax, index
5.717, 15.50, 23, 1 0 0
4.042, 21.99, 30, 1 1 0
2.858, 31.29, 41, 2 0 0
2.557, 35.10, 100, 2 1 0
2.334, 38.58, 91, 2 1 1
1.650, 55.70, 29, 2 2 2
1.586, 58.18, 23, 3 0 2
1.528, 60.61, 44, 3 1 2
1.429, 65.29, 24, 4 0 0
1.248, 76.34, 21, 4 2 1

=====

[9]
CePrNCl: calculated X-ray powder pattern (Cu Kα, 1.54184 Å), based on a crystal structure in Alexandria, relaxed with GGA-PBE.
Peak positions follow from Bragg's law for the DFT cell and can differ from measured ones.

Crystal structure
a b c (Å): 3.6414 3.6414 21.8323
angles (deg): 90.00 90.00 120.00
Space group R3m (No. 160, hexagonal axes)
Inequivalent atoms, fractional coordinates:
Ce 0.0000 0.0000 0.0000 x3
Pr 0.0000 0.0000 0.2066 x3
N 0.0000 0.0000 0.6088 x3
Cl 0.0000 0.0000 0.4380 x3

Main lines, in order of rising 2θ (15 to 90 degrees two-theta):
d (Å), two_theta, I/Imax, index
3.639, 24.46, 20, 0 0 6
3.121, 28.60, 66, 1 0 1
2.731, 32.80, 76, 1 0 4
2.557, 35.10, 100, 0 1 5
2.426, 37.06, 23, 0 0 9
1.821, 50.10, 40, 1 1 0
1.795, 50.87, 26, 1 0 10
1.483, 62.65, 24, 2 0 5
1.456, 63.94, 31, 1 1 9
1.150, 84.21, 18, 1 2 5

=====

[10]
AgSn4Au2: calculated X-ray powder pattern (Cu Kα, 1.54184 Å), based on a crystal structure in Alexandria, relaxed with GGA-PBE.
Peak positions follow from Bragg's law for the DFT cell and can differ from measured ones.

Crystal structure
a b c (Å): 13.1226 4.4171 7.0976
angles (deg): 90.00 121.91 90.00
Space group C2/m (No. 12)
Inequivalent atoms, fractional coordinates:
Ag 0.0000 0.0000 0.0000 x2
Sn 0.1111 0.0000 0.4741 x4
Sn 0.1326 0.5000 0.9700 x4
Au 0.2416 0.5000 0.7229 x4

Main lines, in order of rising 2θ (15 to 90 degrees two-theta):
d (Å), two_theta, I/Imax, index
5.570, 15.91, 28, 2 0 0
3.750, 23.73, 17, 1 1 -1
3.548, 25.10, 19, 2 0 -2
3.122, 28.59, 100, 1 1 1
2.973, 30.06, 51, 4 0 -2
2.244, 40.19, 49, 3 1 1
2.228, 40.49, 63, 5 1 -1
2.208, 40.87, 61, 0 2 0
2.085, 43.39, 63, 3 1 -3
1.773, 51.55, 24, 4 2 -2